(1)
Structure and calculated powder diffraction line list of Y2Zr2O7 (a structure optimized by DFT (GGA-PBE); CuKα).
Neutral-atom scattering factors, no anomalous dispersion.

Main lines, low angle first (2θ from 5° to 70°):
two_theta  d_spacing  I/Imax
25.25  3.527  23.9
26.00  3.428  38.6
27.94  3.194  31.0
29.45  3.033  100.0
30.66  2.916  38.7
32.21  2.779  47.9
32.30  2.771  82.3
41.90  2.156  24.7
46.00  1.973  37.7
57.56  1.601  29.6

```
44
Lattice="7.893 0.000 0.000 0.000 5.546 0.000 -2.035 0.000 13.710" Properties=species:S:1:pos:R:3 pbc="T T T"
Y 0.965 0.000 0.812
Y 1.002 2.509 5.863
Y 0.973 5.083 8.692
Y 1.027 2.397 12.322
Y 4.831 5.170 1.389
Y 4.885 2.310 5.019
Y 4.855 5.282 7.847
Y 4.893 2.773 12.899
Zr -1.047 2.420 8.481
Zr -1.082 5.203 11.238
Zr 2.889 2.494 2.373
Zr 2.929 5.203 5.140
Zr 2.929 2.430 8.570
Zr 2.969 5.267 11.337
Zr 6.940 2.429 2.472
Zr 6.905 5.193 5.229
O -0.631 3.292 4.463
O -0.474 4.015 7.151
O -1.255 1.244 12.572
O -0.393 3.548 10.002
O -0.686 3.975 12.809
O 0.985 1.705 2.387
O 0.972 0.323 5.255
O 0.953 1.711 8.017
O 0.928 0.419 10.948
O 2.637 4.348 1.679
O 2.613 3.264 4.481
O 3.236 1.383 0.652
O 2.405 3.991 7.173
O 2.252 3.592 10.056
O 3.605 0.819 3.654
O 3.453 1.218 6.537
O 2.622 4.156 13.059
O 3.245 0.491 9.229
O 3.221 1.574 12.031
O 4.930 3.192 2.762
O 4.905 4.484 5.694
O 4.886 3.096 8.455
O 4.873 4.478 11.324
O 6.544 1.202 0.901
O 6.251 0.775 3.709
O 7.112 4.017 1.139
O 6.331 1.242 6.560
O 6.489 0.519 9.248
```

---

(2)
Structure and calculated powder diffraction line list of CdAuO2 (a structure optimized by DFT (GGA-PBE); CuKα).
Neutral-atom scattering factors, no anomalous dispersion.

Main lines, low angle first (2θ from 5° to 70°):
two_theta  d_spacing  I/Imax
14.98  5.916  16.1
30.21  2.958  53.0
31.66  2.826  98.2
32.11  2.788  100.0
39.99  2.255  57.2
50.92  1.793  60.1
54.58  1.681  26.1
54.87  1.673  23.3
67.18  1.394  34.9
67.96  1.379  22.2

```
16
Lattice="6.322 0.000 0.000 0.000 11.832 0.000 0.000 0.000 3.217" Properties=species:S:1:pos:R:3 pbc="T T T"
Cd 1.580 2.958 0.000
Cd 1.580 8.874 0.000
Cd 4.741 2.958 0.000
Cd 4.741 8.874 0.000
Au 0.000 0.000 1.609
Au 0.000 5.916 1.609
Au 3.161 0.000 1.609
Au 3.161 5.916 1.609
O 0.000 1.289 0.000
O 0.000 3.821 1.609
O 0.000 8.011 1.609
O 0.000 10.543 0.000
O 3.161 2.095 1.609
O 3.161 4.627 0.000
O 3.161 7.205 0.000
O 3.161 9.737 1.609
```

---

(3)
Structure and calculated powder diffraction line list of Ce2SeS (a structure optimized by DFT (GGA-PBE); CuKα).
Neutral-atom scattering factors, no anomalous dispersion.

Main lines, low angle first (2θ from 5° to 70°):
two_theta  d_spacing  I/Imax
15.20  5.827  2.3
21.57  4.120  2.1
26.50  3.364  33.8
30.69  2.913  100.0
34.42  2.606  1.4
37.82  2.379  1.1
43.95  2.060  73.3
52.06  1.757  16.8
54.56  1.682  25.6
63.91  1.457  11.9

```
4
Lattice="4.120 0.000 0.000 0.000 4.120 0.000 0.000 0.000 5.827" Properties=species:S:1:pos:R:3 pbc="T T T"
Ce 0.000 0.000 0.000
Ce 2.060 2.060 2.914
Se 0.000 0.000 2.914
S 2.060 2.060 0.000
```

---

(4)
Structure and calculated powder diffraction line list of ThSiSe (a structure optimized by DFT (GGA-PBE); CuKα).
Neutral-atom scattering factors, no anomalous dispersion.

Main lines, low angle first (2θ from 5° to 70°):
two_theta  d_spacing  I/Imax
20.05  4.428  69.7
22.76  3.908  86.2
26.89  3.315  34.4
31.58  2.833  96.1
33.78  2.654  95.0
37.70  2.386  100.0
42.24  2.139  54.3
45.27  2.003  52.5
57.66  1.599  41.6
63.64  1.462  33.0

```
12
Lattice="4.006 0.000 0.000 0.000 4.006 0.000 0.000 0.000 17.712" Properties=species:S:1:pos:R:3 pbc="T T T"
Th 0.000 0.000 2.287
Th 0.000 0.000 15.426
Th 2.003 2.003 6.569
Th 2.003 2.003 11.143
Si 0.000 2.003 0.000
Si 0.000 2.003 8.856
Si 2.003 0.000 0.000
Si 2.003 0.000 8.856
Se 0.000 0.000 5.529
Se 0.000 0.000 12.183
Se 2.003 2.003 3.327
Se 2.003 2.003 14.385
```

---

(5)
Structure and calculated powder diffraction line list of YFe6Co5Re (a structure optimized by DFT (GGA-PBE); CuKα).
Neutral-atom scattering factors, no anomalous dispersion.

Main lines, low angle first (2θ from 5° to 70°):
two_theta  d_spacing  I/Imax
14.87  5.958  42.3
21.76  4.084  26.6
37.27  2.412  31.1
37.45  2.401  33.9
38.56  2.335  23.5
43.07  2.100  35.9
43.28  2.090  100.0
44.37  2.042  69.6
48.51  1.877  24.3
49.61  1.838  42.7

```
13
Lattice="-2.335 4.200 4.226 2.335 -4.200 4.226 2.335 4.200 -4.226" Properties=species:S:1:pos:R:3 pbc="T T T"
Y 0.000 0.000 0.000
Fe 2.335 0.000 1.886
Fe 1.164 2.090 2.091
Fe 3.506 2.090 2.091
Fe 0.000 4.200 2.290
Fe -1.171 2.110 6.317
Fe 1.171 2.110 6.317
Co 2.335 1.905 -0.039
Co 0.000 0.000 2.979
Co 2.335 -1.179 4.182
Co 2.335 1.179 4.182
Co 0.000 2.295 4.188
Re 0.000 0.000 5.366
```

---

(6)
Structure and calculated powder diffraction line list of Ta4Cu2O11 (a structure optimized by DFT (GGA-PBE); CuKα).
Neutral-atom scattering factors, no anomalous dispersion.

Main lines, low angle first (2θ from 5° to 70°):
two_theta  d_spacing  I/Imax
14.07  6.294  44.5
16.96  5.229  62.0
28.36  3.147  100.0
29.22  3.057  42.4
29.37  3.041  95.9
31.82  2.812  44.3
31.95  2.801  27.9
35.67  2.517  31.9
50.24  1.816  27.7
58.66  1.574  27.3

```
34
Lattice="5.418 -3.151 0.000 5.418 3.151 0.000 -3.558 0.000 12.587" Properties=species:S:1:pos:R:3 pbc="T T T"
Ta 0.930 1.575 6.294
Ta 2.749 2.490 9.440
Ta 2.563 0.403 3.112
Ta 0.784 -0.403 9.405
Ta 2.709 -1.575 0.000
Ta 6.493 0.403 3.182
Ta 4.715 -0.403 9.475
Ta 4.528 -2.490 3.147
Cu 0.000 0.000 0.000
Cu -1.779 0.000 6.294
Cu 5.418 0.000 0.000
Cu 3.639 0.000 6.294
O 3.180 2.331 3.127
O 2.435 2.296 7.457
O 0.956 1.608 9.782
O 3.063 2.296 11.424
O 2.255 0.561 5.147
O 5.876 2.331 3.166
O 0.754 0.048 7.529
O 2.533 -0.048 1.236
O 4.543 1.608 9.099
O 0.476 -0.561 11.441
O 4.528 0.012 3.147
O 2.749 -0.012 9.440
O 6.801 0.561 1.146
O 2.735 -1.608 3.488
O 4.744 0.048 11.351
O 6.523 -0.048 5.058
O 1.401 -2.331 9.421
O 5.022 -0.561 7.440
O 4.214 -2.296 1.163
O 6.322 -1.608 2.805
O 4.842 -2.296 5.130
O 4.098 -2.331 9.460
```

---

(7)
Structure and calculated powder diffraction line list of PrMnNi4 (a structure optimized by DFT (GGA-PBE); CuKα).
Neutral-atom scattering factors, no anomalous dispersion.

Main lines, low angle first (2θ from 5° to 70°):
two_theta  d_spacing  I/Imax
30.39  2.941  50.0
35.59  2.522  30.0
41.33  2.184  38.6
42.43  2.130  100.0
45.61  1.989  26.2
47.49  1.915  8.2
59.16  1.562  13.3
60.73  1.525  14.1
63.23  1.471  21.0
68.63  1.368  22.4

```
6
Lattice="5.045 0.000 0.000 -2.522 4.369 0.000 0.000 0.000 3.978" Properties=species:S:1:pos:R:3 pbc="T T T"
Pr 0.000 0.000 0.000
Mn 0.000 2.913 0.000
Ni 2.522 0.014 1.989
Ni 1.273 2.177 1.989
Ni 2.522 1.456 0.000
Ni 3.771 2.177 1.989
```

---

(8)
Structure and calculated powder diffraction line list of VIr (a structure optimized by DFT (GGA-PBE); CuKα).
Neutral-atom scattering factors, no anomalous dispersion.

Main lines, low angle first (2θ from 5° to 70°):
two_theta  d_spacing  I/Imax
24.14  3.686  32.4
32.56  2.750  31.1
40.94  2.204  100.0
46.72  1.944  34.2
49.45  1.843  14.4
53.26  1.720  16.7
60.47  1.531  11.6
68.21  1.375  10.9

```
2
Lattice="2.750 0.000 0.000 0.000 2.750 0.000 0.000 0.000 3.686" Properties=species:S:1:pos:R:3 pbc="T T T"
V 0.000 0.000 0.000
Ir 1.375 1.375 1.843
```

---

(9)
Structure and calculated powder diffraction line list of ZrTiAu (a structure optimized by DFT (GGA-PBE); CuKα).
Neutral-atom scattering factors, no anomalous dispersion.

Main lines, low angle first (2θ from 5° to 70°):
two_theta  d_spacing  I/Imax
10.09  8.764  41.8
18.87  4.703  26.1
32.74  2.735  38.2
35.97  2.497  20.6
36.20  2.482  29.5
38.16  2.359  58.6
38.82  2.320  100.0
41.20  2.191  19.8
42.90  2.108  24.2
43.69  2.072  18.5

```
12
Lattice="8.764 0.000 0.000 0.000 2.799 4.703 0.000 -2.799 4.703" Properties=species:S:1:pos:R:3 pbc="T T T"
Zr 1.604 0.000 0.000
Zr 2.737 0.000 3.194
Zr 6.027 0.000 3.194
Zr 7.160 0.000 0.000
Ti 0.000 -1.345 2.344
Ti 0.000 0.000 4.536
Ti 0.000 1.345 2.344
Ti 4.382 0.000 7.728
Au 2.130 0.000 6.290
Au 4.382 -1.442 5.322
Au 4.382 1.442 5.322
Au 6.634 0.000 6.290
```

---

(10)
Structure and calculated powder diffraction line list of TiNbRu2 (a structure optimized by DFT (GGA-PBE); CuKα).
Neutral-atom scattering factors, no anomalous dispersion.

Main lines, low angle first (2θ from 5° to 70°):
two_theta  d_spacing  I/Imax
24.56  3.625  4.8
28.43  3.139  4.3
40.64  2.220  100.0
48.06  1.893  2.5
50.34  1.812  1.3
58.83  1.570  16.3
64.72  1.440  1.0
66.61  1.404  1.7

```
16
Lattice="6.279 0.000 0.000 0.000 6.279 0.000 0.000 0.000 6.279" Properties=species:S:1:pos:R:3 pbc="T T T"
Ti 0.000 0.000 0.000
Ti 0.000 3.139 3.139
Ti 3.139 0.000 3.139
Ti 3.139 3.139 0.000
Nb 0.000 0.000 3.139
Nb 0.000 3.139 0.000
Nb 3.139 0.000 0.000
Nb 3.139 3.139 3.139
Ru 1.570 1.570 1.570
Ru 1.570 1.570 4.709
Ru 1.570 4.709 1.570
Ru 1.570 4.709 4.709
Ru 4.709 1.570 1.570
Ru 4.709 1.570 4.709
Ru 4.709 4.709 1.570
Ru 4.709 4.709 4.709
```